[1]
Computed X-ray powder pattern of Ba21Si2O5 for copper Kα, from a PBE-relaxed structure.
Intensities are scaled so that the largest is 100.

The 12 most intense peaks (2θ = 10–90°), by intensity:
2θ (°), I_rel
24.73, 100
27.78, 46
27.46, 42
48.34, 36
35.77, 34
29.96, 34
26.46, 25
49.14, 21
42.21, 19
50.51, 19
29.04, 18
25.08, 18

a b c (Å): 15.063 15.063 15.063
angles (deg): 60.00 60.00 60.00
Atoms (fractional coordinates):
Ba  0.000  0.000  0.000
Ba  0.000  0.000  0.500
Ba  0.000  0.500  0.000
Ba  0.068  0.331  0.331
Ba  0.068  0.331  0.770
Ba  0.068  0.770  0.331
Ba  0.125  0.125  0.125
Ba  0.230  0.669  0.669
Ba  0.230  0.669  0.932
Ba  0.230  0.932  0.669
Ba  0.249  0.249  0.501
Ba  0.249  0.501  0.249
Ba  0.249  0.501  0.501
Ba  0.331  0.068  0.331
Ba  0.331  0.068  0.770
Ba  0.331  0.331  0.068
Ba  0.331  0.331  0.770
Ba  0.331  0.770  0.068
Ba  0.331  0.770  0.331
Ba  0.499  0.499  0.751
Ba  0.499  0.751  0.499
Ba  0.499  0.751  0.751
Ba  0.500  0.000  0.000
Ba  0.501  0.249  0.249
Ba  0.501  0.249  0.501
Ba  0.501  0.501  0.249
Ba  0.669  0.230  0.669
Ba  0.669  0.230  0.932
Ba  0.669  0.669  0.230
Ba  0.669  0.669  0.932
Ba  0.669  0.932  0.230
Ba  0.669  0.932  0.669
Ba  0.751  0.499  0.499
Ba  0.751  0.499  0.751
Ba  0.751  0.751  0.499
Ba  0.770  0.068  0.331
Ba  0.770  0.331  0.068
Ba  0.770  0.331  0.331
Ba  0.875  0.875  0.875
Ba  0.932  0.230  0.669
Ba  0.932  0.669  0.230
Ba  0.932  0.669  0.669
Si  0.000  0.500  0.500
Si  0.500  0.000  0.500
Si  0.500  0.500  0.000
Si  0.500  0.500  0.500
O  0.283  0.283  0.283
O  0.283  0.283  0.650
O  0.283  0.650  0.283
O  0.350  0.717  0.717
O  0.375  0.375  0.375
O  0.625  0.625  0.625
O  0.650  0.283  0.283
O  0.717  0.350  0.717
O  0.717  0.717  0.350
O  0.717  0.717  0.717


[2]
Computed X-ray powder pattern of BaMg6BiO8 for copper Kα, from a PBE-relaxed structure.
Intensities are scaled so that the largest is 100.

The 12 most intense peaks (2θ = 10–90°), by intensity:
2θ (°), I_rel
18.49, 100
26.49, 87
37.49, 83
32.50, 80
54.55, 52
18.80, 48
26.27, 44
38.14, 40
46.49, 39
54.06, 27
64.51, 27
68.07, 26

a b c (Å): 4.798 4.798 9.439
angles (deg): 90.00 90.00 90.00
Atoms (fractional coordinates):
Ba  0.000  0.000  0.000
Mg  0.000  0.500  0.249
Mg  0.000  0.500  0.751
Mg  0.500  0.000  0.249
Mg  0.500  0.000  0.751
Mg  0.500  0.500  0.000
Mg  0.500  0.500  0.500
Bi  0.000  0.000  0.500
O  0.000  0.000  0.261
O  0.000  0.000  0.739
O  0.000  0.500  0.000
O  0.000  0.500  0.500
O  0.500  0.000  0.000
O  0.500  0.000  0.500
O  0.500  0.500  0.254
O  0.500  0.500  0.746


[3]
Computed X-ray powder pattern of Nb3SnH for copper Kα, from a PBE-relaxed structure.
Intensities are scaled so that the largest is 100.

The 12 most intense peaks (2θ = 10–90°), by intensity:
2θ (°), I_rel
40.90, 100
37.28, 99
40.99, 98
37.20, 96
33.19, 88
64.65, 70
62.01, 34
64.47, 33
69.60, 23
81.80, 18
79.47, 15
84.22, 13

a b c (Å): 5.390 5.404 5.404
angles (deg): 90.22 90.00 90.00
Atoms (fractional coordinates):
Nb  0.000  0.000  0.000
Nb  0.250  0.261  0.513
Nb  0.250  0.753  0.517
Nb  0.500  0.000  0.000
Nb  0.750  0.513  0.261
Nb  0.750  0.517  0.753
Sn  0.250  0.507  0.008
Sn  0.750  0.008  0.507
H  0.250  0.007  0.259
H  0.750  0.259  0.007


[4]
Computed X-ray powder pattern of RbHgC2N2ClO for copper Kα, from a PBE-relaxed structure.
Intensities are scaled so that the largest is 100.

The 12 most intense peaks (2θ = 10–90°), by intensity:
2θ (°), I_rel
18.65, 100
18.90, 98
24.73, 97
34.92, 55
23.36, 54
19.76, 41
52.12, 36
37.77, 35
40.43, 32
34.07, 32
50.75, 31
32.53, 30

a b c (Å): 9.320 9.320 11.009
angles (deg): 90.00 90.00 149.30
Atoms (fractional coordinates):
Rb  0.224  0.776  0.750
Rb  0.776  0.224  0.250
Hg  0.500  0.500  0.000
Hg  0.500  0.500  0.500
C  0.387  0.613  0.526
C  0.387  0.613  0.974
C  0.613  0.387  0.026
C  0.613  0.387  0.474
N  0.323  0.677  0.535
N  0.323  0.677  0.965
N  0.677  0.323  0.035
N  0.677  0.323  0.465
Cl  0.447  0.553  0.250
Cl  0.553  0.447  0.750
O  0.174  0.826  0.250
O  0.826  0.174  0.750


[5]
Computed X-ray powder pattern of Nb3IrS8 for copper Kα, from a PBE-relaxed structure.
Intensities are scaled so that the largest is 100.

The 12 most intense peaks (2θ = 10–90°), by intensity:
2θ (°), I_rel
14.13, 100
34.04, 84
42.45, 59
30.80, 23
54.09, 22
54.77, 20
56.87, 16
71.65, 12
66.07, 12
16.83, 10
84.66, 8
72.27, 7

a b c (Å): 6.704 6.704 8.538
angles (deg): 126.02 126.02 60.02
Atoms (fractional coordinates):
Nb  0.000  0.000  0.000
Nb  0.000  0.500  0.000
Nb  0.500  0.000  0.000
Ir  0.500  0.500  0.000
S  0.043  0.043  0.752
S  0.053  0.539  0.754
S  0.461  0.461  0.247
S  0.461  0.947  0.246
S  0.539  0.053  0.754
S  0.539  0.539  0.753
S  0.947  0.461  0.246
S  0.957  0.957  0.248


[6]
Computed X-ray powder pattern of CeCrB4 for copper Kα, from a PBE-relaxed structure.
Intensities are scaled so that the largest is 100.

The 12 most intense peaks (2θ = 10–90°), by intensity:
2θ (°), I_rel
40.29, 100
31.01, 80
25.09, 68
37.66, 39
27.63, 35
43.20, 25
21.45, 23
61.34, 23
33.24, 22
46.27, 21
51.50, 18
34.58, 18

a b c (Å): 5.961 11.524 3.549
angles (deg): 90.00 90.00 90.00
Atoms (fractional coordinates):
Ce  0.124  0.151  0.000
Ce  0.376  0.651  0.000
Ce  0.624  0.349  0.000
Ce  0.876  0.849  0.000
Cr  0.124  0.419  0.000
Cr  0.376  0.919  0.000
Cr  0.624  0.081  0.000
Cr  0.876  0.581  0.000
B  0.025  0.690  0.500
B  0.112  0.546  0.500
B  0.140  0.967  0.500
B  0.221  0.817  0.500
B  0.279  0.317  0.500
B  0.360  0.467  0.500
B  0.388  0.046  0.500
B  0.475  0.190  0.500
B  0.525  0.810  0.500
B  0.612  0.954  0.500
B  0.640  0.533  0.500
B  0.721  0.683  0.500
B  0.779  0.183  0.500
B  0.860  0.033  0.500
B  0.888  0.454  0.500
B  0.975  0.310  0.500


[7]
Computed X-ray powder pattern of KTbRuC6N6O4 for copper Kα, from a PBE-relaxed structure.
Intensities are scaled so that the largest is 100.

The 12 most intense peaks (2θ = 10–90°), by intensity:
2θ (°), I_rel
18.67, 100
23.55, 95
15.24, 80
34.57, 77
18.25, 74
14.72, 38
24.54, 38
12.39, 37
35.27, 32
33.88, 28
26.70, 25
50.00, 23

a b c (Å): 7.563 7.563 14.282
angles (deg): 90.00 90.00 122.68
Atoms (fractional coordinates):
K  0.019  0.981  0.750
K  0.981  0.019  0.250
Tb  0.331  0.669  0.750
Tb  0.669  0.331  0.250
Ru  0.000  0.000  0.000
Ru  0.000  0.000  0.500
C  0.128  0.872  0.578
C  0.128  0.872  0.922
C  0.135  0.251  0.587
C  0.135  0.251  0.913
C  0.251  0.135  0.087
C  0.251  0.135  0.413
C  0.749  0.865  0.587
C  0.749  0.865  0.913
C  0.865  0.749  0.087
C  0.865  0.749  0.413
C  0.872  0.128  0.078
C  0.872  0.128  0.422
N  0.195  0.805  0.633
N  0.195  0.805  0.867
N  0.200  0.383  0.645
N  0.200  0.383  0.855
N  0.383  0.200  0.145
N  0.383  0.200  0.355
N  0.617  0.800  0.645
N  0.617  0.800  0.855
N  0.800  0.617  0.145
N  0.800  0.617  0.355
N  0.805  0.195  0.133
N  0.805  0.195  0.367
O  0.151  0.567  0.250
O  0.317  0.683  0.178
O  0.317  0.683  0.322
O  0.433  0.849  0.250
O  0.567  0.151  0.750
O  0.683  0.317  0.678
O  0.683  0.317  0.822
O  0.849  0.433  0.750


[8]
Computed X-ray powder pattern of LaInAu for copper Kα, from a PBE-relaxed structure.
Intensities are scaled so that the largest is 100.

The 12 most intense peaks (2θ = 10–90°), by intensity:
2θ (°), I_rel
33.41, 100
30.67, 63
40.66, 43
39.50, 38
34.68, 31
62.99, 30
41.83, 27
58.88, 25
22.50, 21
55.42, 16
77.74, 14
47.97, 12

a b c (Å): 7.902 7.902 4.320
angles (deg): 90.00 90.00 120.00
Atoms (fractional coordinates):
La  0.000  0.586  0.000
La  0.414  0.414  0.000
La  0.586  0.000  0.000
In  0.000  0.248  0.500
In  0.248  0.000  0.500
In  0.752  0.752  0.500
Au  0.000  0.000  0.000
Au  0.333  0.667  0.500
Au  0.667  0.333  0.500


[9]
Computed X-ray powder pattern of FeCu for copper Kα, from a PBE-relaxed structure.
Intensities are scaled so that the largest is 100.

The 11 most intense peaks (2θ = 10–90°), by intensity:
2θ (°), I_rel
44.62, 100
43.75, 27
45.64, 23
81.00, 15
65.07, 15
83.67, 14
64.82, 7
81.50, 7
82.84, 7
21.47, 1
38.63, 1

a b c (Å): 2.454 2.454 4.138
angles (deg): 90.00 90.00 108.23
Atoms (fractional coordinates):
Fe  0.000  0.000  0.000
Cu  0.500  0.500  0.500